1.
Calculated X-ray diffraction stick pattern of BaYNbSnO6 for λ = 1.5418 Å (Cu Kα), from the GGA-PBE geometry in the Materials Project.

Structure:
abc: 8.436 8.442 8.490
angles: 90.00 90.00 90.00
Space group P222 (No. 16)
Unique sites:
Ba: 0.000 0.000 0.000 x1
Ba: 0.000 0.000 0.500 x1
Ba: 0.000 0.500 0.000 x1
Ba: 0.500 0.500 0.500 x1
Y: 0.255 0.251 0.250 x4
Nb: 0.252 0.248 0.749 x4
Sn: 0.000 0.500 0.500 x1
Sn: 0.500 0.000 0.000 x1
Sn: 0.500 0.000 0.500 x1
Sn: 0.500 0.500 0.000 x1
O: 0.014 0.270 0.779 x4
O: 0.216 0.291 0.515 x4
O: 0.223 0.013 0.726 x4
O: 0.284 0.214 0.986 x4
O: 0.291 0.484 0.788 x4
O: 0.485 0.216 0.702 x4

The 8 most intense peaks (5° ≤ 2θ ≤ 70°), in order of falling intensity:
- hkl 2 0 2, 29.9 deg, rel. 100
- hkl 2 4 2, 53.1 deg, rel. 29
- hkl 0 4 0, 42.9 deg, rel. 19
- hkl 2 2 4, 52.9 deg, rel. 15
- hkl 0 4 4, 62.0 deg, rel. 12
- hkl 0 0 4, 42.6 deg, rel. 10
- hkl 4 4 0, 62.2 deg, rel. 6
- hkl 2 2 2, 36.8 deg, rel. 5

***

2.
Calculated X-ray diffraction stick pattern of BaSrNb4O12 for λ = 1.5418 Å (Cu Kα), from the GGA-PBE geometry in the Materials Project.

Structure:
abc: 5.709 5.709 8.071
angles: 90.00 90.00 90.00
Space group P4/mmm (No. 123)
Unique sites:
Ba: 0.000 0.000 0.000 x1
Sr: 0.500 0.500 0.500 x1
Nb: 0.000 0.500 0.252 x4
O: 0.000 0.500 0.000 x2
O: 0.000 0.500 0.500 x2
O: 0.252 0.252 0.254 x8

The 10 most intense peaks (5° ≤ 2θ ≤ 70°), in order of falling intensity:
- hkl 2 0 0, 31.3 deg, rel. 100
- hkl 3 1 2, 55.8 deg, rel. 40
- hkl 2 2 0, 44.9 deg, rel. 39
- hkl 1 0 1, 19.0 deg, rel. 39
- hkl 1 1 0, 22.0 deg, rel. 25
- hkl 4 0 0, 65.4 deg, rel. 23
- hkl 2 1 1, 36.9 deg, rel. 22
- hkl 3 0 1, 49.2 deg, rel. 9
- hkl 3 1 0, 50.6 deg, rel. 9
- hkl 3 2 1, 59.5 deg, rel. 7

***

3.
Calculated X-ray diffraction stick pattern of BaSrTbNbO6 for λ = 1.5418 Å (Cu Kα), from the GGA-PBE geometry in the Materials Project.

Structure:
abc: 8.463 8.465 8.466
angles: 90.00 90.00 90.00
Space group P222 (No. 16)
Unique sites:
Ba: 0.000 0.000 0.000 x1
Ba: 0.000 0.000 0.500 x1
Ba: 0.500 0.000 0.000 x1
Ba: 0.500 0.500 0.500 x1
Sr: 0.000 0.500 0.000 x1
Sr: 0.000 0.500 0.500 x1
Sr: 0.500 0.000 0.500 x1
Sr: 0.500 0.500 0.000 x1
Tb: 0.250 0.253 0.251 x4
Nb: 0.251 0.254 0.751 x4
O: 0.014 0.282 0.780 x4
O: 0.216 0.287 0.515 x4
O: 0.226 0.015 0.729 x4
O: 0.274 0.229 0.987 x4
O: 0.289 0.486 0.782 x4
O: 0.486 0.222 0.713 x4

The 10 most intense peaks (5° ≤ 2θ ≤ 70°), in order of falling intensity:
- hkl 2 2 0, 29.9 deg, rel. 100
- hkl 2 2 4, 53.0 deg, rel. 43
- hkl 4 0 0, 42.7 deg, rel. 29
- hkl 4 0 4, 62.0 deg, rel. 17
- hkl 1 1 1, 18.2 deg, rel. 3
- hkl 3 1 1, 35.2 deg, rel. 3
- hkl 0 0 2, 21.0 deg, rel. 3
- hkl 1 3 3, 46.8 deg, rel. 2
- hkl 2 0 4, 48.1 deg, rel. 1
- hkl 3 5 1, 65.2 deg, rel. 1

***

4.
Calculated X-ray diffraction stick pattern of BaSrTbNbO6 for λ = 1.5418 Å (Cu Kα), from the GGA-PBE geometry in the Materials Project.

Structure:
abc: 8.527 8.527 8.527
angles: 90.00 90.00 90.00
Space group F-43m (No. 216)
Unique sites:
Ba: 0.000 0.000 0.000 x4
Sr: 0.000 0.000 0.500 x4
Tb: 0.250 0.250 0.750 x4
Nb: 0.250 0.250 0.250 x4
O: 0.013 0.250 0.250 x24

The 10 most intense peaks (5° ≤ 2θ ≤ 70°), in order of falling intensity:
- hkl 2 2 0, 29.6 deg, rel. 100
- hkl 4 2 2, 52.6 deg, rel. 40
- hkl 4 0 0, 42.4 deg, rel. 31
- hkl 4 4 0, 61.5 deg, rel. 19
- hkl 6 2 0, 69.8 deg, rel. 18
- hkl 1 1 1, 18.0 deg, rel. 5
- hkl 3 1 1, 34.9 deg, rel. 4
- hkl 2 0 0, 20.8 deg, rel. 3
- hkl 3 3 1, 46.4 deg, rel. 2
- hkl 3 3 3, 56.0 deg, rel. 1

***

5.
Calculated X-ray diffraction stick pattern of BaSrYNbO6 for λ = 1.5418 Å (Cu Kα), from the GGA-PBE geometry in the Materials Project.

Structure:
abc: 8.458 8.464 8.467
angles: 90.00 90.00 90.00
Space group P222 (No. 16)
Unique sites:
Ba: 0.000 0.000 0.000 x1
Ba: 0.000 0.000 0.500 x1
Ba: 0.500 0.000 0.000 x1
Ba: 0.500 0.500 0.500 x1
Sr: 0.000 0.500 0.000 x1
Sr: 0.000 0.500 0.500 x1
Sr: 0.500 0.000 0.500 x1
Sr: 0.500 0.500 0.000 x1
Y: 0.251 0.253 0.250 x4
Nb: 0.249 0.254 0.749 x4
O: 0.013 0.230 0.727 x4
O: 0.218 0.487 0.713 x4
O: 0.220 0.282 0.986 x4
O: 0.270 0.015 0.772 x4
O: 0.286 0.221 0.514 x4
O: 0.485 0.286 0.783 x4

The 10 most intense peaks (5° ≤ 2θ ≤ 70°), in order of falling intensity:
- hkl 2 0 2, 29.9 deg, rel. 100
- hkl 4 2 2, 53.0 deg, rel. 43
- hkl 0 0 4, 42.7 deg, rel. 31
- hkl 4 0 4, 62.0 deg, rel. 18
- hkl 2 2 2, 36.8 deg, rel. 4
- hkl 2 1 3, 39.9 deg, rel. 1
- hkl 1 1 0, 14.8 deg, rel. 1
- hkl 0 3 1, 33.5 deg, rel. 1
- hkl 1 1 1, 18.2 deg, rel. 1
- hkl 2 1 1, 25.8 deg, rel. 1

***

6.
Calculated X-ray diffraction stick pattern of BaSrYNbO6 for λ = 1.5418 Å (Cu Kα), from the GGA-PBE geometry in the Materials Project.

Structure:
abc: 5.978 5.984 8.458
angles: 90.24 90.21 90.23
Space group P-1 (No. 2)
Unique sites:
Ba: 0.005 0.021 0.250 x2
Sr: 0.496 0.526 0.251 x2
Y: 0.000 0.500 0.500 x1
Y: 0.500 0.000 0.000 x1
Nb: 0.000 0.500 0.000 x1
Nb: 0.500 0.000 0.500 x1
O: 0.070 0.506 0.765 x2
O: 0.209 0.763 0.032 x2
O: 0.238 0.790 0.469 x2
O: 0.269 0.298 0.035 x2
O: 0.300 0.271 0.466 x2
O: 0.445 0.018 0.736 x2

The 10 most intense peaks (5° ≤ 2θ ≤ 70°), in order of falling intensity:
- hkl 1 -1 2, 29.9 deg, rel. 100
- hkl 0 0 4, 42.7 deg, rel. 24
- hkl 2 0 -4, 52.9 deg, rel. 21
- hkl 1 1 2, 30.0 deg, rel. 20
- hkl 3 1 2, 53.2 deg, rel. 17
- hkl 2 -2 4, 62.0 deg, rel. 14
- hkl 3 -1 2, 53.0 deg, rel. 13
- hkl 2 2 0, 42.9 deg, rel. 12
- hkl 4 0 0, 62.1 deg, rel. 3
- hkl 2 2 4, 62.3 deg, rel. 3